Record 1
# Rb2MgAg2Cl6
Simulated powder XRD pattern, Cu Kα, 1.54184 Å. Input: a structure optimized by DFT (GGA-PBE).
Lines closer than 0.1° are merged.

Atomic structure:
```
data_Rb2MgAg2Cl6
_cell_length_a 7.7289
_cell_length_b 7.7289
_cell_length_c 19.2738
_cell_angle_alpha 90.00
_cell_angle_beta 90.00
_cell_angle_gamma 120.00
_symmetry_space_group_name_H-M 'R -3 m'
_symmetry_Int_Tables_number 166
_symmetry_space_group_name_Hall '-R 3 2"'
loop_
_atom_site_label
_atom_site_type_symbol
_atom_site_fract_x
_atom_site_fract_y
_atom_site_fract_z
Rb1 Rb 0.0000 0.0000 0.2246
Mg1 Mg 0.0000 0.0000 0.0000
Ag1 Ag 0.0000 0.0000 0.4212
Cl1 Cl 0.0378 0.5189 0.7484
```

Main lines, most intense first (10° ≤ 2θ ≤ 90°):
h k l, two_theta, I (rel.)
1 1 0, 23.01, 1000
0 1 5, 26.69, 473
1 2 5, 42.75, 453
0 0 6, 27.77, 433
2 2 0, 47.03, 390
2 2 6, 55.50, 282
1 0 1, 14.01, 268
1 1 6, 36.37, 258
2 0 5, 35.52, 251
0 2 4, 32.58, 248

=====

Record 2
# MgAgSnCl5
Simulated powder XRD pattern, Cu Kα, 1.54184 Å. Input: a structure optimized by DFT (GGA-PBE).
Lines closer than 0.1° are merged.

Atomic structure:
```
data_MgAgSnCl5
_cell_length_a 9.958
_cell_length_b 10.091
_cell_length_c 10.023
_cell_angle_alpha 90.00
_cell_angle_beta 114.98
_cell_angle_gamma 90.00
_symmetry_space_group_name_H-M 'C 1 2/c 1'
_symmetry_Int_Tables_number 15
loop_
_symmetry_equiv_pos_as_xyz
'x,y,z'
'-x,-y,-z'
'-x,y,-z+1/2'
'x,-y,z+1/2'
'x+1/2,y+1/2,z'
'-x+1/2,-y+1/2,-z'
'-x+1/2,y+1/2,-z+1/2'
'x+1/2,-y+1/2,z+1/2'
loop_
_atom_site_label
_atom_site_type_symbol
_atom_site_fract_x
_atom_site_fract_y
_atom_site_fract_z
Mg1 Mg 0.250 0.250 0.000
Ag1 Ag 0.000 0.012 0.250
Sn1 Sn 0.000 0.430 0.250
Cl1 Cl 0.000 0.252 0.750
Cl2 Cl 0.100 0.226 0.147
Cl3 Cl 0.237 0.494 0.020
```

Main lines, most intense first (10° ≤ 2θ ≤ 90°):
h k l, two_theta, I (rel.)
2 0 -2, 21.09, 1000
2 2 -2, 27.59, 711
2 0 2, 33.38, 652
2 0 0, 19.67, 472
0 0 2, 19.54, 470
1 1 1, 18.72, 463
1 3 -1, 28.57, 320
1 3 -3, 38.03, 296
0 2 0, 17.58, 260
4 0 -4, 42.94, 225

=====

Record 3
# MgTl2Ag2Cl6
Simulated powder XRD pattern, Cu Kα, 1.54184 Å. Input: a structure optimized by DFT (GGA-PBE).
Lines closer than 0.1° are merged.

Atomic structure:
```
data_MgTl2Ag2Cl6
_cell_length_a 7.7317
_cell_length_b 7.7317
_cell_length_c 18.1534
_cell_angle_alpha 90.00
_cell_angle_beta 90.00
_cell_angle_gamma 120.00
_symmetry_space_group_name_H-M 'R -3 m'
_symmetry_Int_Tables_number 166
_symmetry_space_group_name_Hall '-R 3 2"'
loop_
_atom_site_label
_atom_site_type_symbol
_atom_site_fract_x
_atom_site_fract_y
_atom_site_fract_z
Mg1 Mg 0.0000 0.0000 0.0000
Tl1 Tl 0.0000 0.0000 0.2193
Ag1 Ag 0.0000 0.0000 0.4085
Cl1 Cl 0.0389 0.5194 0.7525
```

Main lines, most intense first (10° ≤ 2θ ≤ 90°):
h k l, two_theta, I (rel.)
1 1 0, 23.01, 1000
0 1 5, 27.96, 509
1 2 5, 43.59, 430
2 0 2, 28.41, 366
2 0 5, 36.51, 308
2 2 0, 47.01, 291
3 0 0, 40.41, 222
0 1 2, 16.45, 177
0 0 6, 29.52, 170
3 1 5, 55.59, 155

=====

Record 4
# MnAg3Cl9
Simulated powder XRD pattern, Cu Kα, 1.54184 Å. Input: a structure optimized by DFT (GGA-PBE).
Lines closer than 0.1° are merged.

Atomic structure:
```
data_MnAg3Cl9
_cell_length_a 21.379
_cell_length_b 6.553
_cell_length_c 13.232
_cell_angle_alpha 90.00
_cell_angle_beta 124.86
_cell_angle_gamma 90.00
_symmetry_space_group_name_H-M 'C 1 c 1'
_symmetry_Int_Tables_number 9
loop_
_symmetry_equiv_pos_as_xyz
'x,y,z'
'x,-y,z+1/2'
'x+1/2,y+1/2,z'
'x+1/2,-y+1/2,z+1/2'
loop_
_atom_site_label
_atom_site_type_symbol
_atom_site_fract_x
_atom_site_fract_y
_atom_site_fract_z
Mn1 Mn 0.000 0.117 0.000
Ag1 Ag 0.044 0.407 0.357
Ag2 Ag 0.203 0.195 0.057
Ag3 Ag 0.354 0.010 0.409
Cl1 Cl 0.042 0.024 0.393
Cl2 Cl 0.054 0.103 0.648
Cl3 Cl 0.110 0.327 0.103
Cl4 Cl 0.172 0.476 0.921
Cl5 Cl 0.243 0.080 0.703
Cl6 Cl 0.284 0.068 0.999
Cl7 Cl 0.390 0.451 0.896
Cl8 Cl 0.439 0.126 0.340
Cl9 Cl 0.458 0.181 0.601
```

Main lines, most intense first (10° ≤ 2θ ≤ 90°):
h k l, two_theta, I (rel.)
1 1 0, 14.43, 1000
0 0 2, 16.33, 935
5 1 -2, 24.97, 867
4 0 -2, 17.27, 633
1 1 1, 17.97, 615
0 2 2, 31.90, 599
2 0 -2, 13.41, 476
1 1 -1, 15.09, 476
1 1 2, 23.96, 384
1 1 -3, 25.96, 383